# 1
Structure and simulated powder XRD pattern of Tb8Pm3Th3 (the GGA-PBE geometry in Alexandria; Cu Ka).
Lines closer than 0.1° are merged.

Main lines, low angle first (2θ from 10° to 80°):
- 28.94°, I = 219
- 29.59°, I = 309
- 30.69°, I = 328
- 31.44°, I = 503
- 31.84°, I = 1000
- 33.59°, I = 434
- 44.51°, I = 239
- 56.22°, I = 202
- 61.22°, I = 133
- 62.53°, I = 123

Unit cell a=9.6892 b=9.6892 c=9.6892 alpha=145.84 beta=112.76 gamma=77.62
Positions (direct):
Tb 0.0575 0.3964 0.6610
Tb 0.0666 0.2245 0.8421
Tb 0.2646 0.6036 0.6610
Tb 0.3824 0.2245 0.1579
Tb 0.6176 0.7755 0.8421
Tb 0.7354 0.3964 0.3390
Tb 0.9334 0.7755 0.1579
Tb 0.9425 0.6036 0.3390
Pm 0.0000 0.0000 0.0000
Pm 0.3098 0.0000 0.3098
Pm 0.6902 0.0000 0.6902
Th 0.3145 0.8145 0.5000
Th 0.5000 0.5000 0.0000
Th 0.6855 0.1855 0.5000



# 2
Structure and simulated powder XRD pattern of TbPmY2Th (the GGA-PBE geometry in Alexandria; Cu Ka).
Lines closer than 0.1° are merged.

Main lines, low angle first (2θ from 10° to 80°):
- 10.42°, I = 657
- 20.92°, I = 831
- 27.52°, I = 543
- 29.45°, I = 1000
- 30.23°, I = 570
- 31.81°, I = 498
- 32.22°, I = 423
- 32.36°, I = 535
- 34.74°, I = 929
- 42.63°, I = 428

Unit cell a=8.5619 b=6.4949 c=6.2939 alpha=90.00 beta=97.30 gamma=90.00
Positions (direct):
Tb 0.0000 0.0000 0.0000
Tb 0.0000 0.0000 0.5000
Pm 0.5000 0.1761 0.2500
Pm 0.5000 0.8239 0.7500
Y 0.3096 0.3086 0.7107
Y 0.3096 0.6914 0.2107
Y 0.6904 0.3086 0.7893
Y 0.6904 0.6914 0.2893
Th 0.0000 0.4421 0.2500
Th 0.0000 0.5579 0.7500



# 3
Structure and simulated powder XRD pattern of Tb2Pm2Y6Th (the GGA-PBE geometry in Alexandria; Cu Ka).
Lines closer than 0.1° are merged.

Main lines, low angle first (2θ from 10° to 80°):
- 19.10°, I = 127
- 30.57°, I = 285
- 30.83°, I = 216
- 31.29°, I = 362
- 32.00°, I = 1000
- 33.69°, I = 200
- 44.50°, I = 158
- 46.63°, I = 161
- 56.13°, I = 201
- 62.06°, I = 137

Unit cell a=6.6720 b=6.6720 c=10.6427 alpha=90.00 beta=90.00 gamma=129.25
Positions (direct):
Tb 0.2025 0.7975 0.0000
Tb 0.7975 0.2025 0.0000
Pm 0.1352 0.8648 0.5000
Pm 0.8648 0.1352 0.5000
Y 0.0000 0.0000 0.2089
Y 0.0000 0.0000 0.7911
Y 0.3486 0.6514 0.2888
Y 0.3486 0.6514 0.7112
Y 0.6514 0.3486 0.2888
Y 0.6514 0.3486 0.7112
Th 0.5000 0.5000 0.0000



# 4
Structure and simulated powder XRD pattern of Tb3Pm6YTh2 (the GGA-PBE geometry in Alexandria; Cu Ka).
Lines closer than 0.1° are merged.

Main lines, low angle first (2θ from 10° to 80°):
- 30.31°, I = 1000
- 35.14°, I = 507
- 50.49°, I = 182
- 50.60°, I = 181
- 60.04°, I = 253
- 60.14°, I = 180
- 62.91°, I = 32
- 63.10°, I = 93
- 74.23°, I = 20
- 74.31°, I = 39

Unit cell a=6.2458 b=6.2458 c=12.0012 alpha=94.99 beta=94.99 gamma=119.91
Positions (direct):
Tb 0.0000 0.0000 0.0000
Tb 0.3333 0.6667 0.0000
Tb 0.6667 0.3333 0.0000
Pm 0.0801 0.4171 0.2521
Pm 0.2456 0.2456 0.7485
Pm 0.4171 0.0801 0.2521
Pm 0.5829 0.9199 0.7479
Pm 0.7544 0.7544 0.2515
Pm 0.9199 0.5829 0.7479
Y 0.5000 0.5000 0.5000
Th 0.1664 0.8336 0.5000
Th 0.8336 0.1664 0.5000



# 5
Structure and simulated powder XRD pattern of Tb2Pm2YTh (the GGA-PBE geometry in Alexandria; Cu Ka).
Lines closer than 0.1° are merged.

Main lines, low angle first (2θ from 10° to 80°):
- 28.02°, I = 216
- 30.10°, I = 517
- 30.61°, I = 1000
- 31.98°, I = 396
- 33.23°, I = 235
- 36.94°, I = 290
- 38.45°, I = 116
- 49.35°, I = 170
- 63.00°, I = 138
- 63.82°, I = 116

Unit cell a=6.6345 b=6.8352 c=8.8365 alpha=90.00 beta=96.84 gamma=90.00
Positions (direct):
Tb 0.1779 0.9998 0.1796
Tb 0.1779 0.5002 0.1796
Tb 0.8221 0.0002 0.8204
Tb 0.8221 0.4998 0.8204
Pm 0.3046 0.2500 0.8425
Pm 0.4352 0.2500 0.4951
Pm 0.5648 0.7500 0.5049
Pm 0.6954 0.7500 0.1575
Y 0.3294 0.7500 0.8488
Y 0.6706 0.2500 0.1512
Th 0.0593 0.7500 0.5017
Th 0.9407 0.2500 0.4983



# 6
Structure and simulated powder XRD pattern of Tb2PmYTh (the GGA-PBE geometry in Alexandria; Cu Ka).
Lines closer than 0.1° are merged.

Main lines, low angle first (2θ from 10° to 80°):
- 14.84°, I = 705
- 25.60°, I = 256
- 28.72°, I = 661
- 29.76°, I = 310
- 29.93°, I = 802
- 32.21°, I = 581
- 33.20°, I = 1000
- 35.88°, I = 710
- 38.80°, I = 552
- 45.30°, I = 763

Unit cell a=7.3495 b=7.3495 c=6.9472 alpha=90.00 beta=90.00 gamma=108.66
Positions (direct):
Tb 0.1830 0.1830 0.0000
Tb 0.1830 0.1830 0.5000
Tb 0.8170 0.8170 0.0000
Tb 0.8170 0.8170 0.5000
Pm 0.2280 0.7720 0.7500
Pm 0.7720 0.2280 0.2500
Y 0.2302 0.7698 0.2500
Y 0.7698 0.2302 0.7500
Th 0.4951 0.5049 0.7500
Th 0.5049 0.4951 0.2500



# 7
Structure and simulated powder XRD pattern of TbPmThZr (the GGA-PBE geometry in Alexandria; Cu Ka).
Lines closer than 0.1° are merged.

Main lines, low angle first (2θ from 10° to 80°):
- 19.72°, I = 40
- 22.81°, I = 59
- 32.48°, I = 1000
- 38.28°, I = 24
- 40.06°, I = 20
- 46.59°, I = 184
- 52.48°, I = 28
- 57.94°, I = 387
- 68.01°, I = 120
- 77.41°, I = 166

Unit cell a=7.7973 b=7.7973 c=7.7973 alpha=90.00 beta=90.00 gamma=90.00
Positions (direct):
Tb 0.0000 0.0000 0.0000
Tb 0.0000 0.5000 0.5000
Tb 0.5000 0.0000 0.5000
Tb 0.5000 0.5000 0.0000
Pm 0.2500 0.2500 0.2500
Pm 0.2500 0.7500 0.7500
Pm 0.7500 0.2500 0.7500
Pm 0.7500 0.7500 0.2500
Th 0.0000 0.0000 0.5000
Th 0.0000 0.5000 0.0000
Th 0.5000 0.0000 0.0000
Th 0.5000 0.5000 0.5000
Zr 0.2500 0.2500 0.7500
Zr 0.2500 0.7500 0.2500
Zr 0.7500 0.2500 0.2500
Zr 0.7500 0.7500 0.7500



# 8
Structure and simulated powder XRD pattern of Tb3Pm2Tl4 (the GGA-PBE geometry in Alexandria; Cu Ka).
Lines closer than 0.1° are merged.

Main lines, low angle first (2θ from 10° to 80°):
- 31.74°, I = 1000
- 33.62°, I = 920
- 46.91°, I = 346
- 55.32°, I = 188
- 58.95°, I = 351
- 60.13°, I = 173
- 66.31°, I = 109
- 70.68°, I = 119
- 76.44°, I = 146
- 79.56°, I = 148

Unit cell a=5.3306 b=5.3306 c=10.6798 alpha=90.00 beta=90.00 gamma=120.00
Positions (direct):
Tb 0.0000 0.0000 0.0000
Tb 0.3333 0.6667 0.4251
Tb 0.6667 0.3333 0.5749
Pm 0.3333 0.6667 0.7776
Pm 0.6667 0.3333 0.2224
Tl 0.0000 0.0000 0.3487
Tl 0.0000 0.0000 0.6513
Tl 0.3333 0.6667 0.1022
Tl 0.6667 0.3333 0.8978



# 9
Structure and simulated powder XRD pattern of Tb2Pm4Tl (the GGA-PBE geometry in Alexandria; Cu Ka).
Lines closer than 0.1° are merged.

Main lines, low angle first (2θ from 10° to 80°):
- 26.02°, I = 352
- 30.38°, I = 487
- 30.58°, I = 549
- 30.91°, I = 814
- 31.08°, I = 1000
- 31.55°, I = 812
- 32.45°, I = 407
- 32.65°, I = 397
- 40.99°, I = 448
- 53.52°, I = 417

Unit cell a=5.7872 b=6.8501 c=11.8075 alpha=90.00 beta=103.20 gamma=90.00
Positions (direct):
Tb 0.0404 0.2500 0.4779
Tb 0.3125 0.7500 0.0647
Tb 0.6875 0.2500 0.9353
Tb 0.9596 0.7500 0.5221
Pm 0.1646 0.0108 0.7890
Pm 0.1646 0.4892 0.7890
Pm 0.2509 0.2500 0.0798
Pm 0.3909 0.7500 0.3644
Pm 0.6091 0.2500 0.6356
Pm 0.7491 0.7500 0.9202
Pm 0.8354 0.5108 0.2110
Pm 0.8354 0.9892 0.2110
Tl 0.4750 0.2500 0.3533
Tl 0.5250 0.7500 0.6467



# 10
Structure and simulated powder XRD pattern of Tb4Pm2Tl (the GGA-PBE geometry in Alexandria; Cu Ka).
Lines closer than 0.1° are merged.

Main lines, low angle first (2θ from 10° to 80°):
- 27.19°, I = 245
- 28.66°, I = 308
- 29.44°, I = 422
- 31.82°, I = 1000
- 31.97°, I = 569
- 32.52°, I = 897
- 35.06°, I = 627
- 36.36°, I = 407
- 52.27°, I = 196
- 56.09°, I = 203

Unit cell a=6.3251 b=10.7378 c=6.5603 alpha=90.00 beta=90.07 gamma=90.00
Positions (direct):
Tb 0.0708 0.1548 0.9996
Tb 0.0708 0.3452 0.4996
Tb 0.4014 0.7499 0.2499
Tb 0.4014 0.7501 0.7499
Tb 0.5986 0.2499 0.2501
Tb 0.5986 0.2501 0.7501
Tb 0.9292 0.6548 0.5004
Tb 0.9292 0.8452 0.0004
Pm 0.2434 0.0409 0.4993
Pm 0.2434 0.4591 0.9993
Pm 0.7566 0.5409 0.0007
Pm 0.7566 0.9591 0.5007
Tl 0.5000 0.0000 0.0000
Tl 0.5000 0.5000 0.5000



# 11
Structure and simulated powder XRD pattern of Tb2Pm6Tl (the GGA-PBE geometry in Alexandria; Cu Ka).
Lines closer than 0.1° are merged.

Main lines, low angle first (2θ from 10° to 80°):
- 28.26°, I = 109
- 28.45°, I = 244
- 31.42°, I = 365
- 32.42°, I = 1000
- 32.76°, I = 482
- 50.15°, I = 191
- 56.58°, I = 104
- 60.21°, I = 164
- 60.60°, I = 108
- 61.10°, I = 136

Unit cell a=11.2033 b=11.2033 c=9.1403 alpha=108.66 beta=108.66 gamma=32.74
Positions (direct):
Tb 0.0559 0.3898 0.3037
Tb 0.3898 0.0559 0.8037
Tb 0.6102 0.9441 0.1963
Tb 0.9441 0.6102 0.6963
Pm 0.0371 0.7424 0.4720
Pm 0.1729 0.5020 0.0856
Pm 0.2576 0.9629 0.0280
Pm 0.2703 0.6240 0.8651
Pm 0.3760 0.7297 0.6349
Pm 0.4980 0.8271 0.4144
Pm 0.5020 0.1729 0.5856
Pm 0.6240 0.2703 0.3651
Pm 0.7297 0.3760 0.1349
Pm 0.7424 0.0371 0.9720
Pm 0.8271 0.4980 0.9144
Pm 0.9629 0.2576 0.5280
Tl 0.1701 0.8299 0.2500
Tl 0.8299 0.1701 0.7500



# 12
Structure and simulated powder XRD pattern of Tb4PmTl7 (the GGA-PBE geometry in Alexandria; Cu Ka).
Lines closer than 0.1° are merged.

Main lines, low angle first (2θ from 10° to 80°):
- 27.92°, I = 285
- 28.49°, I = 364
- 31.17°, I = 930
- 31.43°, I = 541
- 34.12°, I = 1000
- 37.21°, I = 382
- 37.45°, I = 622
- 44.86°, I = 411
- 57.35°, I = 358
- 67.01°, I = 279

Unit cell a=7.2965 b=7.2965 c=11.5164 alpha=120.72 beta=120.72 gamma=46.31
Positions (direct):
Tb 0.0865 0.0865 0.2828
Tb 0.2213 0.2213 0.8293
Tb 0.7787 0.7787 0.1707
Tb 0.9135 0.9135 0.7172
Pm 0.5000 0.5000 0.5000
Tl 0.0000 0.0000 0.5000
Tl 0.1336 0.1336 0.0429
Tl 0.2844 0.2844 0.6039
Tl 0.4198 0.4198 0.1736
Tl 0.5802 0.5802 0.8264
Tl 0.7156 0.7156 0.3961
Tl 0.8664 0.8664 0.9571



# 13
Structure and simulated powder XRD pattern of Tb2Pm3Tl2 (the GGA-PBE geometry in Alexandria; Cu Ka).
Lines closer than 0.1° are merged.

Main lines, low angle first (2θ from 10° to 80°):
- 31.74°, I = 978
- 32.55°, I = 1000
- 46.06°, I = 235
- 46.17°, I = 116
- 56.02°, I = 159
- 57.56°, I = 365
- 58.07°, I = 194
- 66.30°, I = 92
- 68.17°, I = 120
- 77.10°, I = 104

Unit cell a=9.5225 b=5.5067 c=8.7623 alpha=90.00 beta=111.36 gamma=90.00
Positions (direct):
Tb 0.0751 0.0000 0.2247
Tb 0.4249 0.5000 0.7753
Tb 0.5751 0.5000 0.2247
Tb 0.9249 0.0000 0.7753
Pm 0.0000 0.5000 0.5000
Pm 0.1558 0.5000 0.9672
Pm 0.3442 0.0000 0.0328
Pm 0.5000 0.0000 0.5000
Pm 0.6558 0.0000 0.9672
Pm 0.8442 0.5000 0.0328
Tl 0.2149 0.0000 0.6452
Tl 0.2851 0.5000 0.3548
Tl 0.7149 0.5000 0.6452
Tl 0.7851 0.0000 0.3548